This entry pairs a crystal structure of La4Cd2Au with its calculated powder diffractogram. Radiation: Cu Ka. Structure: a DFT-relaxed cell (GGA-PBE, Alexandria).

```
data_La4Cd2Au
_cell_length_a 5.4490
_cell_length_b 5.4490
_cell_length_c 26.5140
_cell_angle_alpha 90.00
_cell_angle_beta 90.00
_cell_angle_gamma 120.00
_space_group_name_H-M_alt 'R -3 m'
_space_group_IT_number 166
_space_group_name_Hall '-R 3 2"'
loop_
_atom_site_label
_atom_site_type_symbol
_atom_site_fract_x
_atom_site_fract_y
_atom_site_fract_z
La1 La 0.0000 0.0000 0.1234
La2 La 0.0000 0.0000 0.3741
Cd1 Cd 0.0000 0.0000 0.2468
Au1 Au 0.0000 0.0000 0.0000
```

Main lines, in order of rising 2θ (2θ from 10° to 80°):
hkl 0 0 3, 10.01°, I = 20; hkl 1 0 1, 19.10°, I = 17; hkl 1 1 0, 32.87°, I = 100; hkl 0 1 8, 33.03°, I = 98; hkl 2 0 8, 47.29°, I = 36; hkl 3 0 0, 58.76°, I = 56; hkl 1 0 16, 59.08°, I = 18; hkl 3 1 8, 78.59°, I = 16


This entry pairs a crystal structure of Li2TbZn2 with its calculated powder diffractogram. Radiation: Cu Ka. Structure: a DFT-relaxed cell (GGA-PBE, Alexandria).

```
data_Li2TbZn2
_cell_length_a 3.5357
_cell_length_b 4.4616
_cell_length_c 25.3515
_cell_angle_alpha 90.00
_cell_angle_beta 90.00
_cell_angle_gamma 90.00
_space_group_name_H-M_alt 'I m m a'
_space_group_IT_number 74
_space_group_name_Hall '-I 2b 2'
loop_
_atom_site_label
_atom_site_type_symbol
_atom_site_fract_x
_atom_site_fract_y
_atom_site_fract_z
Li1 Li 0.0000 0.2500 0.1957
Li2 Li 0.0000 0.2500 0.7050
Tb1 Tb 0.0000 0.2500 0.4236
Zn1 Zn 0.0000 0.2500 0.8726
Zn2 Zn 0.0000 0.2500 0.9752
```

Main lines, in order of rising 2θ (2θ from 10° to 80°):
hkl 1 1 2, 33.09°, I = 100; hkl 1 1 4, 35.35°, I = 68; hkl 1 0 7, 35.48°, I = 52; hkl 0 1 9, 37.77°, I = 56; hkl 0 2 0, 40.43°, I = 30; hkl 0 1 11, 44.23°, I = 29; hkl 2 0 0, 51.70°, I = 23; hkl 1 2 7, 54.87°, I = 30


This entry pairs a crystal structure of CeScNi2As2 with its calculated powder diffractogram. Radiation: Cu Ka. Structure: a DFT-relaxed cell (GGA-PBE, Alexandria).

```
data_CeScNi2As2
_cell_length_a 4.0580
_cell_length_b 4.0580
_cell_length_c 7.4260
_cell_angle_alpha 90.00
_cell_angle_beta 90.00
_cell_angle_gamma 120.00
_space_group_name_H-M_alt 'P -3 m 1'
_space_group_IT_number 164
_space_group_name_Hall '-P 3 2"'
loop_
_atom_site_label
_atom_site_type_symbol
_atom_site_fract_x
_atom_site_fract_y
_atom_site_fract_z
Ce1 Ce 0.0000 0.0000 0.0000
Sc1 Sc 0.0000 0.0000 0.5000
Ni1 Ni 0.3333 0.6667 0.7256
As1 As 0.3333 0.6667 0.2663
```

Main lines, in order of rising 2θ (2θ from 10° to 80°):
hkl 0 1 1, 28.09°, I = 22; hkl 0 1 2, 35.16°, I = 100; hkl 1 1 0, 44.66°, I = 53; hkl 0 0 4, 49.07°, I = 11; hkl 2 0 2, 58.07°, I = 22; hkl 1 1 3, 58.85°, I = 9; hkl 1 1 4, 68.52°, I = 29; hkl 1 2 2, 76.11°, I = 20


This entry pairs a crystal structure of Tb3NdN4 with its calculated powder diffractogram. Radiation: Cu Ka. Structure: a DFT-relaxed cell (GGA-PBE, Alexandria).

```
data_Tb3NdN4
_cell_length_a 6.1276
_cell_length_b 7.0815
_cell_length_c 6.1264
_cell_angle_alpha 90.00
_cell_angle_beta 109.45
_cell_angle_gamma 90.00
_space_group_name_H-M_alt 'P 1 2/c 1'
_space_group_IT_number 13
_space_group_name_Hall '-P 2yc'
loop_
_atom_site_label
_atom_site_type_symbol
_atom_site_fract_x
_atom_site_fract_y
_atom_site_fract_z
Tb1 Tb 0.0000 0.1245 0.2500
Tb2 Tb 0.0000 0.3715 0.7500
Tb3 Tb 0.5000 0.1242 0.7500
Nd1 Nd 0.5000 0.3731 0.2500
N1 N 0.2428 0.3679 0.5017
N2 N 0.2479 0.1234 0.9952
```

Main lines, in order of rising 2θ (2θ from 10° to 80°):
hkl 2 0 0, 30.95°, I = 100; hkl 1 2 1, 35.89°, I = 72; hkl 2 0 2, 51.66°, I = 50; hkl 3 2 1, 61.45°, I = 45; hkl 4 0 0, 64.50°, I = 17; hkl 4 0 -4, 76.08°, I = 8


This entry pairs a crystal structure of Mg2H4Ir with its calculated powder diffractogram. Radiation: Cu Ka. Structure: a DFT-relaxed cell (GGA-PBE, Alexandria).

```
data_Mg2H4Ir
_cell_length_a 3.3942
_cell_length_b 6.4194
_cell_length_c 6.4195
_cell_angle_alpha 90.00
_cell_angle_beta 90.00
_cell_angle_gamma 90.00
_space_group_name_H-M_alt 'A m m 2'
_space_group_IT_number 38
_space_group_name_Hall 'A 2 -2'
loop_
_atom_site_label
_atom_site_type_symbol
_atom_site_fract_x
_atom_site_fract_y
_atom_site_fract_z
Mg1 Mg 0.0000 0.2499 0.0000
H1 H 0.5000 0.0000 0.0117
H2 H 0.5000 0.0000 0.4865
H3 H 0.5000 0.2374 0.2490
Ir1 Ir 0.5000 0.0000 0.7491
```

Main lines, in order of rising 2θ (2θ from 10° to 80°):
hkl 0 1 1, 19.56°, I = 100; hkl 0 2 0, 27.79°, I = 22; hkl 1 1 1, 32.95°, I = 55; hkl 1 2 0, 38.61°, I = 59; hkl 0 2 2, 39.71°, I = 26; hkl 0 3 1, 44.64°, I = 24; hkl 1 3 1, 52.53°, I = 31; hkl 1 4 2, 71.34°, I = 19


This entry pairs a crystal structure of Li3B8C8 with its calculated powder diffractogram. Radiation: Cu Ka. Structure: a DFT-relaxed cell (GGA-PBE, Alexandria).

```
data_Li3B8C8
_cell_length_a 15.6430
_cell_length_b 2.7067
_cell_length_c 9.1791
_cell_angle_alpha 90.00
_cell_angle_beta 121.25
_cell_angle_gamma 90.00
_space_group_name_H-M_alt 'C 1 m 1'
_space_group_IT_number 8
_space_group_name_Hall 'C -2y'
loop_
_atom_site_label
_atom_site_type_symbol
_atom_site_fract_x
_atom_site_fract_y
_atom_site_fract_z
Li1 Li 0.0000 0.0000 0.0000
Li2 Li 0.0259 0.5000 0.6408
Li3 Li 0.2627 0.0000 0.5274
B1 B 0.1225 0.5000 0.3295
B2 B 0.1390 0.0000 0.5972
B3 B 0.1803 0.0000 0.1403
B4 B 0.2017 0.5000 0.8936
B5 B 0.3218 0.5000 0.1169
B6 B 0.3561 0.0000 0.8921
B7 B 0.3638 0.0000 0.4100
B8 B 0.4060 0.5000 0.6975
C1 C 0.1267 0.5000 0.5010
C2 C 0.1351 0.0000 0.2547
C3 C 0.1735 0.0000 0.7873
C4 C 0.1946 0.5000 0.0647
C5 C 0.3303 0.0000 0.2166
C6 C 0.3324 0.5000 0.9541
C7 C 0.3840 0.5000 0.5105
C8 C 0.4067 0.0000 0.7860
```

Main lines, in order of rising 2θ (2θ from 10° to 80°):
hkl 2 0 0, 13.24°, I = 100; hkl 2 0 1, 21.47°, I = 43; hkl 4 0 -1, 22.87°, I = 46; hkl 4 0 0, 26.66°, I = 66; hkl 1 1 -2, 38.98°, I = 27; hkl 3 1 1, 43.68°, I = 12; hkl 5 1 -2, 44.61°, I = 16; hkl 8 0 -1, 49.51°, I = 12


This entry pairs a crystal structure of Li3BiB2O6 with its calculated powder diffractogram. Radiation: Cu Ka. Structure: a DFT-relaxed cell (GGA-PBE, Alexandria).

```
data_Li3BiB2O6
_cell_length_a 4.7983
_cell_length_b 7.7085
_cell_length_c 8.8241
_cell_angle_alpha 109.69
_cell_angle_beta 91.57
_cell_angle_gamma 92.85
_space_group_name_H-M_alt 'P -1'
_space_group_IT_number 2
_space_group_name_Hall '-P 1'
loop_
_atom_site_label
_atom_site_type_symbol
_atom_site_fract_x
_atom_site_fract_y
_atom_site_fract_z
Li1 Li 0.0484 0.1396 0.2466
Li2 Li 0.2349 0.8297 0.2455
Li3 Li 0.3215 0.0916 0.6229
Bi1 Bi 0.3808 0.5424 0.7978
B1 B 0.2800 0.2279 0.9507
B2 B 0.4527 0.7699 0.5506
O1 O 0.1151 0.1222 0.8229
O2 O 0.2139 0.2876 0.1155
O3 O 0.2774 0.7139 0.6499
O4 O 0.3489 0.0849 0.3924
O5 O 0.4074 0.6919 0.3823
O6 O 0.4573 0.6989 0.0732
```

Main lines, in order of rising 2θ (2θ from 10° to 80°):
hkl 0 1 0, 12.22°, I = 100; hkl 1 0 0, 18.53°, I = 47; hkl 0 1 -2, 20.75°, I = 25; hkl 0 0 2, 21.41°, I = 25; hkl 1 1 0, 22.90°, I = 28; hkl -1 1 1, 25.59°, I = 35; hkl 0 2 -2, 26.63°, I = 36; hkl 1 -1 2, 28.15°, I = 23


This entry pairs a crystal structure of Bi3H2 with its calculated powder diffractogram. Radiation: Cu Ka. Structure: a DFT-relaxed cell (GGA-PBE, Alexandria).

```
data_Bi3H2
_cell_length_a 18.0599
_cell_length_b 18.1384
_cell_length_c 3.3206
_cell_angle_alpha 90.00
_cell_angle_beta 90.00
_cell_angle_gamma 90.00
_space_group_name_H-M_alt 'F d d 2'
_space_group_IT_number 43
_space_group_name_Hall 'F 2 -2d'
loop_
_atom_site_label
_atom_site_type_symbol
_atom_site_fract_x
_atom_site_fract_y
_atom_site_fract_z
Bi1 Bi 0.0000 0.0000 0.0000
Bi2 Bi 0.1243 0.3791 0.2219
H1 H 0.0512 0.3082 0.2208
```

Main lines, in order of rising 2θ (2θ from 10° to 80°):
hkl 2 2 0, 13.84°, I = 55; hkl 4 0 0, 19.62°, I = 25; hkl 1 1 1, 27.76°, I = 52; hkl 4 4 0, 27.89°, I = 100; hkl 2 6 0, 31.16°, I = 31; hkl 3 3 1, 34.22°, I = 32; hkl 0 8 0, 39.75°, I = 60; hkl 1 7 1, 44.67°, I = 33